Computed powder diffractogram
Compound: TmScNi10
Radiation: Cu Kα (λ = 1.5418 Å)
Structure: a DFT-relaxed cell (PBE, Alexandria)

Structural model:
Cell lengths 3.9637, 4.7929, 8.2941 Å; angles 90.00, 90.00, 90.00 degrees
Space group Pmmm (No. 47)
Inequivalent atoms, fractional coordinates:
Tm (0.0000, 0.0000, 0.0000)
Sc (0.0000, 0.5000, 0.5000)
Ni (0.0000, 0.0000, 0.3384)
Ni (0.0000, 0.5000, 0.1728)
Ni (0.5000, 0.0000, 0.5000)
Ni (0.5000, 0.2504, 0.2521)
Ni (0.5000, 0.5000, 0.0000)

Top 6 peaks for 10 to 90 degrees two-theta, by intensity:
Position (°2θ)  I_rel  hkl
44.18  100.0  1 2 0
31.21  33.0  1 1 1
43.63  32.1  0 0 4
45.78  30.7  2 0 0
37.55  25.8  0 2 0
72.37  21.4  1 3 3

***

Computed powder diffractogram
Compound: AcLa6Y2
Radiation: Cu Kα (λ = 1.5418 Å)
Structure: a DFT-relaxed cell (PBE, Alexandria)

Structural model:
Cell lengths 18.4384, 10.0801, 3.6382 Å; angles 90.00, 100.83, 90.00 degrees
Space group Cm (No. 8)
Inequivalent atoms, fractional coordinates:
Ac (0.0000, 0.0000, 0.0000)
La (0.0000, 0.3329, 0.5013)
La (0.1699, 0.1756, 0.6607)
La (0.3300, 0.3245, 0.3364)
Y (0.1524, 0.5000, 0.1421)
Y (0.3475, 0.0000, 0.8599)

Top 6 peaks for 10 to 90 degrees two-theta, by intensity:
Position (°2θ)  I_rel  hkl
30.45  100.0  3 3 0
29.60  52.6  6 0 0
30.71  51.4  0 2 1
27.96  27.9  3 1 -1
27.79  24.1  1 1 1
32.66  22.0  3 1 1

***

Computed powder diffractogram
Compound: SrNd2Cd3
Radiation: Cu Kα (λ = 1.5418 Å)
Structure: a DFT-relaxed cell (PBE, Alexandria)

Structural model:
Cell lengths 3.8937, 3.8937, 11.9358 Å; angles 90.00, 90.00, 90.00 degrees
Space group P4/mmm (No. 123)
Inequivalent atoms, fractional coordinates:
Sr (0.0000, 0.0000, 0.0000)
Nd (0.0000, 0.0000, 0.3406)
Cd (0.5000, 0.5000, 0.1845)
Cd (0.5000, 0.5000, 0.5000)

Top 6 peaks for 10 to 90 degrees two-theta, by intensity:
Position (°2θ)  I_rel  hkl
32.17  100.0  1 0 3
32.52  50.7  1 1 0
57.80  36.4  2 1 3
46.65  18.3  2 0 0
57.12  16.5  1 1 6
67.29  10.5  2 0 6

***

Computed powder diffractogram
Compound: BaZnPdF6
Radiation: Cu Kα (λ = 1.5418 Å)
Structure: a DFT-relaxed cell (PBE, Alexandria)

Structural model:
Cell lengths 7.0587, 7.5018, 10.6401 Å; angles 90.00, 90.00, 90.00 degrees
Space group Imma (No. 74)
Inequivalent atoms, fractional coordinates:
Ba (0.0000, 0.2500, 0.1287)
Zn (0.0000, 0.0000, 0.5000)
Pd (0.2500, 0.2500, 0.7500)
F (0.0000, 0.2500, 0.4496)
F (0.0000, 0.2500, 0.8737)
F (0.2188, 0.0084, 0.6310)

Top 6 peaks for 10 to 90 degrees two-theta, by intensity:
Position (°2θ)  I_rel  hkl
29.18  100.0  2 1 1
28.19  94.0  1 0 3
49.30  65.5  2 2 4
27.82  40.6  0 1 3
30.39  32.7  2 0 2
24.07  30.0  1 1 2

***

Computed powder diffractogram
Compound: Cs6Rb12Cl
Radiation: Cu Kα (λ = 1.5418 Å)
Structure: a DFT-relaxed cell (PBE, Alexandria)

Structural model:
Cell lengths 15.5346, 15.5346, 25.1470 Å; angles 90.00, 90.00, 120.00 degrees
Space group R-3m (No. 166, hexagonal axes)
Inequivalent atoms, fractional coordinates:
Cs (0.1087, 0.2175, 0.0819)
Rb (0.1078, 0.2156, 0.7500)
Rb (0.1103, 0.2206, 0.4149)
Cl (0.0000, 0.0000, 0.0000)

Top 6 peaks for 10 to 90 degrees two-theta, by intensity:
Position (°2θ)  I_rel  hkl
22.49  100.0  0 3 3
40.97  26.0  3 3 6
37.94  25.4  3 0 9
21.20  24.6  0 0 6
34.65  22.4  3 3 0
19.80  20.7  3 0 0